Simulated X-ray powder pattern of Sm3SiS6Cl for Cu Ka, from a PBE-relaxed structure.

Principal peaks in the range 10° ≤ 2θ ≤ 80°, sorted by position:
- 18.50 deg, rel. 32
- 23.65 deg, rel. 39
- 25.61 deg, rel. 100
- 25.95 deg, rel. 54
- 31.18 deg, rel. 36
- 36.14 deg, rel. 38
- 37.44 deg, rel. 30
- 37.73 deg, rel. 33
- 40.48 deg, rel. 27
- 41.95 deg, rel. 29

Atomic structure:
Unit cell a=9.940 b=5.736 c=9.995 alpha=90.00 beta=118.64 gamma=90.00
Positions (direct):
Sm  0.136  0.000  0.359
Sm  0.226  0.996  0.873
Sm  0.354  0.499  0.235
Sm  0.646  0.999  0.765
Sm  0.774  0.496  0.127
Sm  0.864  0.500  0.641
Si  0.335  0.583  0.667
Si  0.665  0.083  0.333
S  0.090  0.471  0.255
S  0.111  0.729  0.591
S  0.256  0.971  0.161
S  0.332  0.215  0.667
S  0.417  0.734  0.522
S  0.474  0.730  0.891
S  0.526  0.230  0.109
S  0.583  0.234  0.478
S  0.668  0.715  0.333
S  0.744  0.471  0.839
S  0.889  0.229  0.409
S  0.910  0.971  0.745
Cl  0.162  0.470  0.909
Cl  0.838  0.970  0.091

Simulated X-ray powder pattern of Sm2SCl4 for Cu Ka, from a PBE-relaxed structure.

Principal peaks in the range 10° ≤ 2θ ≤ 80°, sorted by position:
- 20.10 deg, rel. 100
- 23.41 deg, rel. 27
- 24.43 deg, rel. 51
- 26.55 deg, rel. 21
- 33.31 deg, rel. 22
- 36.43 deg, rel. 25
- 36.57 deg, rel. 20
- 38.60 deg, rel. 20
- 40.83 deg, rel. 30
- 40.97 deg, rel. 19

Atomic structure:
Unit cell a=8.333 b=8.333 c=7.056 alpha=97.41 beta=97.41 gamma=45.79
Positions (direct):
Sm  0.101  0.685  0.923
Sm  0.315  0.899  0.577
Sm  0.685  0.101  0.423
Sm  0.899  0.315  0.077
S  0.063  0.937  0.250
S  0.937  0.063  0.750
Cl  0.139  0.300  0.821
Cl  0.300  0.139  0.321
Cl  0.308  0.516  0.576
Cl  0.484  0.692  0.924
Cl  0.516  0.308  0.076
Cl  0.692  0.484  0.424
Cl  0.700  0.861  0.679
Cl  0.861  0.700  0.179